# 1
Starting from the PBE geometry in Alexandria, the PXRD pattern of La7PrY3 was simulated for Cu Kα X-rays.

Main lines, sorted by position (10 to 90 degrees two-theta):
Position (°2θ), intensity
26.5, 7
27.3, 14
30.5, 21
30.8, 68
31.2, 100
31.4, 36
32.3, 21
33.6, 15
51.3, 7
54.6, 9
55.1, 10
55.8, 11

Structural model:
Cell lengths 6.675, 6.828, 8.978 Å; angles 100.00, 98.95, 95.64 degrees
Sites, in units of the cell vectors:
La 0.000 0.000 0.000
La 0.050 0.710 0.644
La 0.207 0.224 0.707
La 0.481 0.735 0.913
La 0.519 0.265 0.087
La 0.793 0.776 0.293
La 0.950 0.290 0.356
Pr 0.000 0.500 0.000
Y 0.320 0.926 0.333
Y 0.500 0.500 0.500
Y 0.680 0.074 0.667

# 2
Starting from the PBE geometry in Alexandria, the PXRD pattern of ZnFeCu4Ge2S8 was simulated for Cu Kα X-rays.

Main lines, sorted by position (10 to 90 degrees two-theta):
Position (°2θ), intensity
29.0, 100
33.7, 11
48.3, 60
57.4, 40
60.2, 3
70.7, 6
70.8, 3
78.2, 15
80.6, 2
80.7, 1

Structural model:
Cell lengths 7.538, 6.520, 6.520 Å; angles 70.58, 90.00, 90.00 degrees
Sites, in units of the cell vectors:
Zn 0.000 0.000 0.000
Fe 0.500 0.499 0.499
Cu 0.252 0.002 0.498
Cu 0.252 0.498 0.002
Cu 0.748 0.002 0.498
Cu 0.748 0.498 0.002
Ge 0.000 0.498 0.498
Ge 0.500 0.002 0.002
S 0.000 0.386 0.872
S 0.000 0.872 0.386
S 0.252 0.374 0.374
S 0.258 0.873 0.873
S 0.500 0.375 0.874
S 0.500 0.874 0.375
S 0.742 0.873 0.873
S 0.748 0.374 0.374

# 3
Starting from the PBE geometry in Alexandria, the PXRD pattern of Li2Ag5Sb2 was simulated for Cu Kα X-rays.

Main lines, sorted by position (10 to 90 degrees two-theta):
Position (°2θ), intensity
10.6, 14
19.8, 24
21.2, 38
29.2, 30
35.5, 35
37.1, 58
37.9, 58
38.7, 100
41.7, 14
48.5, 12
54.7, 17
67.0, 19

Structural model:
Cell lengths 9.797, 9.797, 9.797 Å; angles 62.44, 151.94, 125.47 degrees
Sites, in units of the cell vectors:
Li 0.024 0.092 0.116
Li 0.024 0.408 0.432
Li 0.976 0.592 0.568
Li 0.976 0.908 0.884
Ag 0.252 0.128 0.799
Ag 0.252 0.953 0.624
Ag 0.329 0.453 0.201
Ag 0.329 0.628 0.376
Ag 0.645 0.102 0.376
Ag 0.645 0.769 0.043
Ag 0.726 0.269 0.624
Ag 0.726 0.602 0.957
Ag 0.843 0.148 0.195
Ag 0.953 0.648 0.805
Sb 0.379 0.379 0.000
Sb 0.379 0.879 0.500
Sb 0.518 0.332 0.686
Sb 0.647 0.832 0.314

# 4
Starting from the PBE geometry in Alexandria, the PXRD pattern of CsK6Rb10 was simulated for Cu Kα X-rays.

Main lines, sorted by position (10 to 90 degrees two-theta):
Position (°2θ), intensity
16.2, 22
22.3, 14
22.8, 100
23.0, 91
32.6, 36
39.9, 22
40.3, 35
40.5, 16
46.6, 13
52.6, 16
52.9, 13
62.9, 10

Structural model:
Cell lengths 13.368, 13.368, 9.602 Å; angles 90.00, 90.00, 120.00 degrees
Sites, in units of the cell vectors:
Cs 0.000 0.000 0.000
K 0.000 0.356 0.839
K 0.000 0.644 0.161
K 0.356 0.000 0.839
K 0.356 0.356 0.161
K 0.644 0.000 0.161
K 0.644 0.644 0.839
Rb 0.000 0.305 0.339
Rb 0.000 0.695 0.661
Rb 0.305 0.000 0.339
Rb 0.305 0.305 0.661
Rb 0.333 0.667 0.000
Rb 0.333 0.667 0.500
Rb 0.667 0.333 0.000
Rb 0.667 0.333 0.500
Rb 0.695 0.000 0.661
Rb 0.695 0.695 0.339

# 5
Starting from the PBE geometry in Alexandria, the PXRD pattern of YbCe9O20 was simulated for Cu Kα X-rays.

Main lines, sorted by position (10 to 90 degrees two-theta):
Position (°2θ), intensity
28.3, 100
32.8, 29
47.1, 54
55.9, 45
58.6, 9
68.8, 8
76.0, 18
78.3, 12
87.6, 17

Structural model:
Cell lengths 6.685, 7.720, 8.630 Å; angles 102.90, 97.41, 106.78 degrees
Sites, in units of the cell vectors:
Yb 0.000 0.000 0.000
Ce 0.000 0.500 0.000
Ce 0.200 0.399 0.399
Ce 0.200 0.900 0.399
Ce 0.398 0.299 0.800
Ce 0.400 0.801 0.801
Ce 0.600 0.199 0.199
Ce 0.602 0.701 0.200
Ce 0.800 0.100 0.601
Ce 0.800 0.601 0.601
O 0.050 0.227 0.849
O 0.050 0.723 0.849
O 0.150 0.175 0.550
O 0.150 0.675 0.549
O 0.251 0.625 0.250
O 0.252 0.126 0.251
O 0.350 0.575 0.950
O 0.352 0.075 0.950
O 0.449 0.524 0.650
O 0.450 0.025 0.650
O 0.550 0.975 0.350
O 0.551 0.476 0.350
O 0.648 0.925 0.050
O 0.650 0.425 0.050
O 0.748 0.874 0.749
O 0.749 0.375 0.750
O 0.850 0.325 0.451
O 0.850 0.825 0.450
O 0.950 0.277 0.151
O 0.950 0.773 0.151

# 6
Starting from the PBE geometry in Alexandria, the PXRD pattern of Na5B7C3 was simulated for Cu Kα X-rays.

Main lines, sorted by position (10 to 90 degrees two-theta):
Position (°2θ), intensity
20.8, 1
35.8, 18
41.8, 100
42.3, 25
56.6, 10
64.4, 18
68.5, 2
76.0, 2
77.0, 12
79.8, 11
80.1, 17

Structural model:
Cell lengths 2.893, 2.893, 42.760 Å; angles 90.00, 90.00, 120.00 degrees
Sites, in units of the cell vectors:
Na 0.000 0.000 0.000
Na 0.000 0.000 0.098
Na 0.000 0.000 0.197
Na 0.000 0.000 0.299
Na 0.000 0.000 0.401
Na 0.000 0.000 0.500
Na 0.000 0.000 0.598
Na 0.000 0.000 0.700
Na 0.000 0.000 0.799
Na 0.000 0.000 0.901
B 0.333 0.667 0.148
B 0.333 0.667 0.248
B 0.333 0.667 0.350
B 0.333 0.667 0.549
B 0.333 0.667 0.649
B 0.333 0.667 0.750
B 0.333 0.667 0.850
B 0.333 0.667 0.951
B 0.667 0.333 0.049
B 0.667 0.333 0.248
B 0.667 0.333 0.350
B 0.667 0.333 0.451
B 0.667 0.333 0.649
B 0.667 0.333 0.850
C 0.333 0.667 0.049
C 0.333 0.667 0.451
C 0.667 0.333 0.148
C 0.667 0.333 0.549
C 0.667 0.333 0.750
C 0.667 0.333 0.951

# 7
Starting from the PBE geometry in Alexandria, the PXRD pattern of Ba5Y3 was simulated for Cu Kα X-rays.

Main lines, sorted by position (10 to 90 degrees two-theta):
Position (°2θ), intensity
24.1, 43
26.2, 15
27.1, 100
27.4, 25
29.2, 61
40.5, 11
42.4, 14
44.7, 49
50.1, 23
53.2, 15
55.0, 13
62.5, 14

Structural model:
Cell lengths 11.286, 11.286, 7.271 Å; angles 90.00, 90.00, 120.00 degrees
Sites, in units of the cell vectors:
Ba 0.000 0.240 0.250
Ba 0.000 0.760 0.750
Ba 0.240 0.000 0.250
Ba 0.240 0.240 0.750
Ba 0.333 0.667 0.000
Ba 0.333 0.667 0.500
Ba 0.667 0.333 0.000
Ba 0.667 0.333 0.500
Ba 0.760 0.000 0.750
Ba 0.760 0.760 0.250
Y 0.000 0.425 0.750
Y 0.000 0.575 0.250
Y 0.425 0.000 0.750
Y 0.425 0.425 0.250
Y 0.575 0.000 0.250
Y 0.575 0.575 0.750

# 8
Starting from the PBE geometry in Alexandria, the PXRD pattern of Nd2Al3Zn2 was simulated for Cu Kα X-rays.

Main lines, sorted by position (10 to 90 degrees two-theta):
Position (°2θ), intensity
17.9, 27
22.0, 51
28.2, 25
28.6, 54
33.3, 81
33.9, 100
36.3, 60
36.9, 66
39.8, 26
40.8, 43
55.8, 35
58.3, 25

Structural model:
Cell lengths 10.784, 4.422, 6.802 Å; angles 90.00, 113.49, 90.00 degrees
Sites, in units of the cell vectors:
Nd 0.152 0.000 0.276
Nd 0.348 0.500 0.724
Nd 0.652 0.500 0.276
Nd 0.848 0.000 0.724
Al 0.000 0.500 0.500
Al 0.096 0.500 0.925
Al 0.404 0.000 0.075
Al 0.500 0.000 0.500
Al 0.596 0.000 0.925
Al 0.904 0.500 0.075
Zn 0.148 0.000 0.759
Zn 0.352 0.500 0.241
Zn 0.648 0.500 0.759
Zn 0.852 0.000 0.241

# 9
Starting from the PBE geometry in Alexandria, the PXRD pattern of K3CdOs2O8 was simulated for Cu Kα X-rays.

Main lines, sorted by position (10 to 90 degrees two-theta):
Position (°2θ), intensity
20.3, 100
28.2, 67
29.6, 82
38.1, 15
41.3, 35
45.6, 11
47.4, 22
49.1, 12
51.6, 24
52.5, 16
58.3, 11
61.4, 13

Structural model:
Cell lengths 6.042, 6.042, 7.942 Å; angles 90.00, 90.00, 120.00 degrees
Sites, in units of the cell vectors:
K 0.000 0.000 0.000
K 0.333 0.667 0.651
K 0.667 0.333 0.349
Cd 0.000 0.000 0.500
Os 0.333 0.667 0.204
Os 0.667 0.333 0.796
O 0.173 0.346 0.302
O 0.173 0.827 0.302
O 0.333 0.667 0.980
O 0.346 0.173 0.698
O 0.654 0.827 0.302
O 0.667 0.333 0.020
O 0.827 0.173 0.698
O 0.827 0.654 0.698

# 10
Starting from the PBE geometry in Alexandria, the PXRD pattern of AcPr3 was simulated for Cu Kα X-rays.

Main lines, sorted by position (10 to 90 degrees two-theta):
Position (°2θ), intensity
27.1, 24
29.0, 26
30.8, 100
40.1, 17
47.7, 7
47.9, 13
52.6, 22
56.8, 8
57.0, 16
57.9, 11
58.1, 6
80.3, 6

Structural model:
Cell lengths 3.812, 12.305, 6.573 Å; angles 90.00, 90.00, 90.00 degrees
Sites, in units of the cell vectors:
Ac 0.000 0.000 0.000
Ac 0.500 0.500 0.500
Pr 0.000 0.247 0.335
Pr 0.000 0.500 0.005
Pr 0.000 0.753 0.335
Pr 0.500 0.000 0.505
Pr 0.500 0.253 0.835
Pr 0.500 0.747 0.835

# 11
Starting from the PBE geometry in Alexandria, the PXRD pattern of Ni7Pd2Rh2 was simulated for Cu Kα X-rays.

Main lines, sorted by position (10 to 90 degrees two-theta):
Position (°2θ), intensity
37.6, 38
38.1, 73
39.7, 47
40.8, 52
42.4, 99
43.9, 68
44.0, 100
44.5, 59
45.1, 36
45.3, 82
46.7, 97
49.4, 44

Structural model:
Cell lengths 4.729, 4.729, 7.177 Å; angles 92.48, 92.48, 119.02 degrees
Sites, in units of the cell vectors:
Ni 0.000 0.000 0.000
Ni 0.060 0.557 0.838
Ni 0.443 0.940 0.162
Ni 0.447 0.447 0.178
Ni 0.553 0.553 0.822
Ni 0.557 0.060 0.838
Ni 0.940 0.443 0.162
Pd 0.047 0.047 0.673
Pd 0.953 0.953 0.327
Rh 0.331 0.669 0.500
Rh 0.669 0.331 0.500

# 12
Starting from the PBE geometry in Alexandria, the PXRD pattern of TaTe2I5 was simulated for Cu Kα X-rays.

Main lines, sorted by position (10 to 90 degrees two-theta):
Position (°2θ), intensity
13.6, 39
13.9, 100
21.0, 60
22.4, 40
25.4, 97
29.6, 24
33.1, 29
33.2, 31
34.1, 22
34.6, 32
37.7, 28
46.3, 28

Structural model:
Cell lengths 8.176, 8.178, 8.192 Å; angles 107.27, 103.71, 117.67 degrees
Sites, in units of the cell vectors:
Ta 0.000 0.000 0.000
Te 0.196 0.696 0.500
Te 0.503 0.002 0.499
I 0.263 0.888 0.990
I 0.265 0.269 0.374
I 0.692 0.692 0.000
I 0.895 0.890 0.625
I 0.897 0.273 0.010